Starting from a PBE-relaxed structure, the X-ray diffraction stick pattern of Bi3BO6 was simulated for Cu Kα, 1.54184 Å.
Kinematic intensities with the Lorentz-polarization factor, no thermal factor.

Atomic structure:
Cell: 12.4298 9.8463 4.9477 Å, 90.00 90.00 90.00°
Space group Pnma (No. 62)
One atom of each set of equivalent atoms:
Bi 0.0763 0.2500 0.0112
Bi 0.1373 0.5636 0.5143
B 0.2176 0.7500 0.0733
O 0.0355 0.0902 0.2852
O 0.1007 0.7500 0.1877
O 0.2267 0.7500 0.7813
O 0.2330 0.1237 0.6976

Top 12 peaks for 2θ = 10–90°, in order of rising 2θ:
two_theta	intensity
21.33	42
26.53	100
28.09	40
28.73	23
29.55	47
30.81	61
33.56	34
36.31	22
46.95	19
48.34	46
49.55	33
54.90	33

***

Starting from a PBE-relaxed structure, the X-ray diffraction stick pattern of PrCo2 was simulated for Cu Kα, 1.54184 Å.
Kinematic intensities with the Lorentz-polarization factor, no thermal factor.

Atomic structure:
Cell: 7.3323 7.3323 7.3323 Å, 90.00 90.00 90.00°
Space group Fd-3m (No. 227, origin choice 2)
One atom of each set of equivalent atoms:
Pr 0.1250 0.1250 0.1250
Co 0.0000 0.0000 0.5000

Top 12 peaks for 2θ = 10–90°, in order of rising 2θ:
two_theta	intensity
20.99	10
34.60	60
40.82	100
42.72	17
54.55	3
62.01	22
66.23	30
72.99	22
76.93	2
83.36	10
87.17	11
88.44	5

***

Starting from a PBE-relaxed structure, the X-ray diffraction stick pattern of Ac2Mg was simulated for Cu Kα, 1.54184 Å.
Kinematic intensities with the Lorentz-polarization factor, no thermal factor.

Atomic structure:
Cell: 4.1047 4.1047 13.7558 Å, 90.00 90.00 90.00°
Space group I4/mmm (No. 139)
One atom of each set of equivalent atoms:
Ac 0.0000 0.0000 0.1518
Mg 0.0000 0.0000 0.5000

Top 12 peaks for 2θ = 10–90°, in order of rising 2θ:
two_theta	intensity
12.87	11
22.61	48
25.91	17
29.20	100
30.81	47
40.68	21
44.13	18
50.13	12
50.75	18
51.56	15
53.79	38
70.16	13

***

Starting from a PBE-relaxed structure, the X-ray diffraction stick pattern of KNb2PO8 was simulated for Cu Kα, 1.54184 Å.
Kinematic intensities with the Lorentz-polarization factor, no thermal factor.

Atomic structure:
Cell: 13.4434 13.4434 10.5593 Å, 90.00 90.00 120.00°
Space group R3 (No. 146, hexagonal axes)
One atom of each set of equivalent atoms:
K 0.0095 0.7059 0.0000
Nb 0.0235 0.1702 0.4221
Nb 0.1696 0.0225 0.7857
P 0.1096 0.4424 0.7719
O 0.0000 0.1533 0.6052
O 0.0001 0.4752 0.1058
O 0.0090 0.4427 0.4637
O 0.0112 0.8787 0.8009
O 0.0236 0.1714 0.2235
O 0.1083 0.3418 0.0797
O 0.1318 0.1205 0.4102
O 0.1714 0.0246 0.9875

Top 12 peaks for 2θ = 10–90°, in order of rising 2θ:
two_theta	intensity
11.31	24
13.17	37
18.45	31
25.30	37
26.52	100
28.63	23
28.92	23
32.50	12
36.98	18
43.55	12
46.81	20
54.58	16

***

Starting from a PBE-relaxed structure, the X-ray diffraction stick pattern of CsCeMg14O16 was simulated for Cu Kα, 1.54184 Å.
Kinematic intensities with the Lorentz-polarization factor, no thermal factor.

Atomic structure:
Cell: 8.9198 8.9198 4.6013 Å, 90.00 90.00 90.00°
Space group P4/mmm (No. 123)
One atom of each set of equivalent atoms:
Cs 0.0000 0.0000 0.0000
Ce 0.5000 0.5000 0.0000
Mg 0.0000 0.2569 0.5000
Mg 0.0000 0.5000 0.0000
Mg 0.2333 0.5000 0.5000
Mg 0.2431 0.2431 0.0000
O 0.0000 0.0000 0.5000
O 0.0000 0.2860 0.0000
O 0.0000 0.5000 0.5000
O 0.2412 0.5000 0.0000
O 0.2512 0.2512 0.5000
O 0.5000 0.5000 0.5000

Top 12 peaks for 2θ = 10–90°, in order of rising 2θ:
two_theta	intensity
14.04	58
19.91	41
23.94	48
27.86	35
31.72	32
34.48	56
37.40	32
39.16	58
40.45	100
57.56	64
58.54	29
72.70	28

***

Starting from a PBE-relaxed structure, the X-ray diffraction stick pattern of NaCdN was simulated for Cu Kα, 1.54184 Å.
Kinematic intensities with the Lorentz-polarization factor, no thermal factor.

Atomic structure:
Cell: 3.7811 6.7148 8.6589 Å, 90.00 90.00 90.00°
Space group Cmc2_1 (No. 36)
One atom of each set of equivalent atoms:
Na 0.0000 0.1739 0.0000
Cd 0.0000 0.4995 0.2670
N 0.0000 0.1716 0.2999

Top 12 peaks for 2θ = 10–90°, in order of rising 2θ:
two_theta	intensity
20.51	70
26.55	29
27.06	60
33.78	53
34.20	100
41.73	21
47.19	31
48.13	15
50.44	23
51.96	21
60.09	19
64.79	21

***

Starting from a PBE-relaxed structure, the X-ray diffraction stick pattern of ThSiTe was simulated for Cu Kα, 1.54184 Å.
Kinematic intensities with the Lorentz-polarization factor, no thermal factor.

Atomic structure:
Cell: 4.1457 4.1457 18.6087 Å, 90.00 90.00 90.00°
Space group I4/mmm (No. 139)
One atom of each set of equivalent atoms:
Th 0.0000 0.0000 0.1203
Si 0.0000 0.5000 0.0000
Te 0.0000 0.0000 0.3106

Top 12 peaks for 2θ = 10–90°, in order of rising 2θ:
two_theta	intensity
19.08	35
21.97	39
30.49	67
32.01	13
32.33	100
36.22	50
40.30	20
43.67	35
48.05	14
49.25	19
55.36	44
67.90	14

***

Starting from a PBE-relaxed structure, the X-ray diffraction stick pattern of Na2HF4 was simulated for Cu Kα, 1.54184 Å.
Kinematic intensities with the Lorentz-polarization factor, no thermal factor.

Atomic structure:
Cell: 4.7924 3.5881 6.0018 Å, 90.00 110.52 90.00°
Space group P2/m (No. 10)
One atom of each set of equivalent atoms:
Na 0.0000 0.0000 0.0000
Na 0.5000 0.5000 0.5000
H 0.0000 0.0000 0.5000
F 0.1720 0.0000 0.4078
F 0.3444 0.5000 0.0752

Top 12 peaks for 2θ = 10–90°, in order of rising 2θ:
two_theta	intensity
20.54	26
29.52	8
31.90	100
45.45	17
45.57	35
50.79	30
50.90	15
55.35	7
57.93	23
61.28	11
70.60	10
80.73	5

***

Starting from a PBE-relaxed structure, the X-ray diffraction stick pattern of Na4Cu3S8N5O12 was simulated for Cu Kα, 1.54184 Å.
Kinematic intensities with the Lorentz-polarization factor, no thermal factor.

Atomic structure:
Cell: 13.7552 13.7552 5.8887 Å, 90.00 90.00 90.00°
Space group I4/m (No. 87)
One atom of each set of equivalent atoms:
Na 0.1740 0.7125 0.0000
Cu 0.0000 0.0000 0.5000
Cu 0.0000 0.5000 0.2500
S 0.0731 0.6029 0.5000
S 0.0872 0.2699 0.0000
N 0.0000 0.0000 0.0000
N 0.0401 0.8688 0.5000
O 0.0157 0.7533 0.0000
O 0.1395 0.2408 0.2063

Top 12 peaks for 2θ = 10–90°, in order of rising 2θ:
two_theta	intensity
12.87	24
18.24	29
20.42	23
20.88	100
25.91	21
29.03	42
30.80	42
36.86	46
45.61	20
47.68	20
49.51	24
56.72	29

***

Starting from a PBE-relaxed structure, the X-ray diffraction stick pattern of Na2MgCu2O4 was simulated for Cu Kα, 1.54184 Å.
Kinematic intensities with the Lorentz-polarization factor, no thermal factor.

Atomic structure:
Cell: 2.8894 5.4340 8.4099 Å, 95.94 90.04 105.40°
Space group P1 (No. 1)
One atom of each set of equivalent atoms:
Na 0.0000 0.0000 0.0000
Na 0.2152 0.4306 0.4585
Mg 0.4720 0.9444 0.6691
Cu 0.4662 0.9383 0.3566
Cu 0.7379 0.4758 0.8051
O 0.0464 0.1001 0.2603
O 0.1075 0.2150 0.7450
O 0.3617 0.7235 0.8492
O 0.8933 0.7882 0.4997

Top 12 peaks for 2θ = 10–90°, in order of rising 2θ:
two_theta	intensity
10.58	96
19.08	62
21.04	85
21.25	100
33.63	46
34.44	41
34.84	60
38.24	42
40.62	33
42.84	57
44.89	46
55.74	38

***

Starting from a PBE-relaxed structure, the X-ray diffraction stick pattern of Pr2Si3Pd was simulated for Cu Kα, 1.54184 Å.
Kinematic intensities with the Lorentz-polarization factor, no thermal factor.

Atomic structure:
Cell: 8.2889 8.2889 8.6064 Å, 90.00 90.00 120.00°
Space group P6_3/mmc (No. 194)
One atom of each set of equivalent atoms:
Pr 0.0000 0.0000 0.2500
Pr 0.0043 0.5021 0.2500
Si 0.1657 0.3314 0.0026
Pd 0.3333 0.6667 0.5079

Top 12 peaks for 2θ = 10–90°, in order of rising 2θ:
two_theta	intensity
21.44	6
24.81	23
32.48	100
41.99	13
43.68	34
49.39	8
55.48	21
62.20	24
70.73	10
73.15	19
80.24	6
86.95	6